For Mg5AlPd, a DFT-relaxed cell (GGA-PBE, Alexandria) gives the computed powder diffractogram in this record (a wavelength of 1.5418 Å).
Peak positions follow from Bragg's law for the DFT cell and can differ from measured ones.

Structural model:
Lattice parameters (Å, degrees): 6.3683 6.3764 7.1252 90.00 90.04 90.00
Space group C2/m (No. 12)
Symmetry-distinct sites (fractional):
1 Mg 0.0000 0.0000 0.0000 [2 per cell]
2 Mg 0.2485 0.2509 0.7105 [8 per cell]
3 Al 0.0000 0.5000 0.0000 [2 per cell]
4 Pd 0.0000 0.0000 0.5000 [2 per cell]

Largest 10 diffraction maxima, in order of falling intensity, 2θ from 5° to 70°:
| two_theta | I/Imax |
| --- | --- |
| 37.88 | 100 |
| 23.36 | 69 |
| 19.70 | 49 |
| 40.02 | 47 |
| 12.42 | 38 |
| 32.03 | 29 |
| 46.85 | 21 |
| 47.76 | 17 |
| 57.88 | 15 |
| 52.15 | 14 |

---

For Al5Ru3, a DFT-relaxed cell (GGA-PBE, Alexandria) gives the computed powder diffractogram in this record (a wavelength of 1.5418 Å).
Peak positions follow from Bragg's law for the DFT cell and can differ from measured ones.

Structural model:
Lattice parameters (Å, degrees): 7.3924 7.3924 5.0349 90.00 90.00 120.00
Space group P6_3/mcm (No. 193)
Symmetry-distinct sites (fractional):
1 Al 0.0000 0.2534 0.2500 [6 per cell]
2 Al 0.3333 0.6667 0.0000 [4 per cell]
3 Ru 0.0000 0.3841 0.7500 [6 per cell]

Largest 10 diffraction maxima, in order of falling intensity, 2θ from 5° to 70°:
| two_theta | I/Imax |
| --- | --- |
| 29.99 | 100 |
| 41.40 | 70 |
| 42.35 | 53 |
| 43.49 | 52 |
| 24.08 | 35 |
| 35.66 | 35 |
| 54.82 | 33 |
| 13.83 | 26 |
| 56.53 | 19 |
| 52.76 | 18 |

---

For Pm12Al2Si5, a DFT-relaxed cell (GGA-PBE, Alexandria) gives the computed powder diffractogram in this record (a wavelength of 1.5418 Å).
Peak positions follow from Bragg's law for the DFT cell and can differ from measured ones.

Structural model:
Lattice parameters (Å, degrees): 17.0201 7.1603 9.6355 90.00 104.00 90.00
Space group C2/m (No. 12)
Symmetry-distinct sites (fractional):
1 Pm 0.0087 0.0000 0.2892 [4 per cell]
2 Pm 0.0338 0.5000 0.8109 [4 per cell]
3 Pm 0.1517 0.2551 0.5650 [8 per cell]
4 Pm 0.1772 0.2419 0.1041 [8 per cell]
5 Al 0.0000 0.1818 0.0000 [4 per cell]
6 Si 0.0000 0.5000 0.5000 [2 per cell]
7 Si 0.1737 0.0000 0.8258 [4 per cell]
8 Si 0.1982 0.0000 0.3593 [4 per cell]

Largest 10 diffraction maxima, in order of falling intensity, 2θ from 5° to 70°:
| two_theta | I/Imax |
| --- | --- |
| 25.09 | 100 |
| 24.05 | 81 |
| 27.15 | 71 |
| 31.75 | 68 |
| 31.47 | 54 |
| 32.53 | 52 |
| 33.12 | 48 |
| 37.36 | 39 |
| 42.21 | 28 |
| 51.03 | 24 |

---

For Hg5C7, a DFT-relaxed cell (GGA-PBE, Alexandria) gives the computed powder diffractogram in this record (a wavelength of 1.5418 Å).
Peak positions follow from Bragg's law for the DFT cell and can differ from measured ones.

Structural model:
Lattice parameters (Å, degrees): 8.8050 8.8050 4.7450 90.00 90.00 90.00
Space group I4/mmm (No. 139)
Symmetry-distinct sites (fractional):
1 Hg 0.0000 0.0000 0.0000 [2 per cell]
2 Hg 0.1906 0.1906 0.5000 [8 per cell]
3 C 0.0000 0.0000 0.5000 [2 per cell]
4 C 0.0000 0.3906 0.5000 [8 per cell]
5 C 0.0000 0.5000 0.2500 [4 per cell]

Largest 10 diffraction maxima, in order of falling intensity, 2θ from 5° to 70°:
| two_theta | I/Imax |
| --- | --- |
| 35.98 | 100 |
| 29.48 | 75 |
| 28.68 | 53 |
| 14.23 | 36 |
| 59.83 | 33 |
| 37.92 | 30 |
| 43.61 | 28 |
| 20.17 | 27 |
| 59.15 | 25 |
| 48.23 | 23 |

---

For CrPd2Pt9, a DFT-relaxed cell (GGA-PBE, Alexandria) gives the computed powder diffractogram in this record (a wavelength of 1.5418 Å).
Peak positions follow from Bragg's law for the DFT cell and can differ from measured ones.

Structural model:
Lattice parameters (Å, degrees): 3.9422 3.9422 11.8578 90.00 90.00 90.00
Space group P4/mmm (No. 123)
Symmetry-distinct sites (fractional):
1 Cr 0.0000 0.0000 0.0000 [1 per cell]
2 Pd 0.0000 0.0000 0.3311 [2 per cell]
3 Pt 0.0000 0.5000 0.1602 [4 per cell]
4 Pt 0.0000 0.5000 0.5000 [2 per cell]
5 Pt 0.5000 0.5000 0.0000 [1 per cell]
6 Pt 0.5000 0.5000 0.3302 [2 per cell]

Largest 10 diffraction maxima, in order of falling intensity, 2θ from 5° to 70°:
| two_theta | I/Imax |
| --- | --- |
| 39.56 | 100 |
| 46.05 | 33 |
| 67.06 | 21 |
| 45.92 | 16 |
| 67.16 | 11 |
| 22.53 | 7 |
| 32.08 | 6 |
| 57.19 | 2 |
| 51.79 | 2 |
| 51.86 | 1 |

---

For Pm16Ho6Tm7, a DFT-relaxed cell (GGA-PBE, Alexandria) gives the computed powder diffractogram in this record (a wavelength of 1.5418 Å).
Peak positions follow from Bragg's law for the DFT cell and can differ from measured ones.

Structural model:
Lattice parameters (Å, degrees): 15.8647 15.8647 15.8647 90.00 90.00 90.00
Space group Fm-3m (No. 225)
Symmetry-distinct sites (fractional):
1 Pm 0.1247 0.1247 0.1247 [32 per cell]
2 Pm 0.1490 0.1490 0.3510 [32 per cell]
3 Ho 0.0000 0.0000 0.2662 [24 per cell]
4 Tm 0.0000 0.0000 0.0000 [4 per cell]
5 Tm 0.0000 0.2500 0.2500 [24 per cell]

Largest 10 diffraction maxima, in order of falling intensity, 2θ from 5° to 70°:
| two_theta | I/Imax |
| --- | --- |
| 31.91 | 100 |
| 56.86 | 28 |
| 45.75 | 15 |
| 29.25 | 9 |
| 66.70 | 8 |
| 27.54 | 6 |
| 43.83 | 6 |
| 60.35 | 5 |
| 33.41 | 5 |
| 15.80 | 5 |

---

For Hf2Al3Ga, a DFT-relaxed cell (GGA-PBE, Alexandria) gives the computed powder diffractogram in this record (a wavelength of 1.5418 Å).
Peak positions follow from Bragg's law for the DFT cell and can differ from measured ones.

Structural model:
Lattice parameters (Å, degrees): 5.2781 5.2781 12.8203 90.00 90.00 120.00
Space group R-3m (No. 166, hexagonal axes)
Symmetry-distinct sites (fractional):
1 Hf 0.0000 0.0000 0.1233 [6 per cell]
2 Al 0.0000 0.5000 0.0000 [9 per cell]
3 Ga 0.0000 0.0000 0.5000 [3 per cell]

Largest 10 diffraction maxima, in order of falling intensity, 2θ from 5° to 70°:
| two_theta | I/Imax |
| --- | --- |
| 40.14 | 100 |
| 33.97 | 83 |
| 34.17 | 48 |
| 40.33 | 43 |
| 20.63 | 40 |
| 20.79 | 31 |
| 65.10 | 21 |
| 64.98 | 19 |
| 60.92 | 19 |
| 60.79 | 16 |

---

For Si2MoRu3, a DFT-relaxed cell (GGA-PBE, Alexandria) gives the computed powder diffractogram in this record (a wavelength of 1.5418 Å).
Peak positions follow from Bragg's law for the DFT cell and can differ from measured ones.

Structural model:
Lattice parameters (Å, degrees): 2.8947 2.8947 9.5685 90.00 90.00 90.00
Space group P4/mmm (No. 123)
Symmetry-distinct sites (fractional):
1 Si 0.0000 0.0000 0.1583 [2 per cell]
2 Mo 0.0000 0.0000 0.5000 [1 per cell]
3 Ru 0.5000 0.5000 0.0000 [1 per cell]
4 Ru 0.5000 0.5000 0.3045 [2 per cell]

Largest 10 diffraction maxima, in order of falling intensity, 2θ from 5° to 70°:
| two_theta | I/Imax |
| --- | --- |
| 42.16 | 100 |
| 44.25 | 50 |
| 64.37 | 16 |
| 30.89 | 15 |
| 36.27 | 14 |
| 32.31 | 11 |
| 59.43 | 8 |
| 37.60 | 8 |
| 57.82 | 6 |
| 27.97 | 6 |

---

For Zn6Ni8Pt, a DFT-relaxed cell (GGA-PBE, Alexandria) gives the computed powder diffractogram in this record (a wavelength of 1.5418 Å).
Peak positions follow from Bragg's law for the DFT cell and can differ from measured ones.

Structural model:
Lattice parameters (Å, degrees): 6.7935 6.7935 14.6742 90.00 90.00 120.00
Space group R-3 (No. 148, hexagonal axes)
Symmetry-distinct sites (fractional):
1 Zn 0.0054 0.7417 0.3826 [18 per cell]
2 Ni 0.0000 0.0000 0.2446 [6 per cell]
3 Ni 0.0067 0.7146 0.8753 [18 per cell]
4 Pt 0.0000 0.0000 0.0000 [3 per cell]

Largest 10 diffraction maxima, in order of falling intensity, 2θ from 5° to 70°:
| two_theta | I/Imax |
| --- | --- |
| 45.71 | 100 |
| 46.30 | 87 |
| 39.26 | 64 |
| 42.48 | 60 |
| 47.83 | 60 |
| 16.23 | 43 |
| 32.08 | 31 |
| 41.05 | 23 |
| 34.14 | 23 |
| 52.24 | 22 |

---

For BaSrP4, a DFT-relaxed cell (GGA-PBE, Alexandria) gives the computed powder diffractogram in this record (a wavelength of 1.5418 Å).
Peak positions follow from Bragg's law for the DFT cell and can differ from measured ones.

Structural model:
Lattice parameters (Å, degrees): 8.0909 8.0909 8.0909 90.00 90.00 90.00
Space group F-43m (No. 216)
Symmetry-distinct sites (fractional):
1 Ba 0.0000 0.0000 0.0000 [4 per cell]
2 Sr 0.2500 0.2500 0.2500 [4 per cell]
3 P 0.1124 0.1124 0.6124 [16 per cell]

Largest 10 diffraction maxima, in order of falling intensity, 2θ from 5° to 70°:
| two_theta | I/Imax |
| --- | --- |
| 36.84 | 100 |
| 31.27 | 85 |
| 59.35 | 35 |
| 55.65 | 32 |
| 19.00 | 31 |
| 65.23 | 21 |
| 49.08 | 12 |
| 38.55 | 10 |
| 21.97 | 8 |
| 68.62 | 8 |

---

For Hf4SnN2, a DFT-relaxed cell (GGA-PBE, Alexandria) gives the computed powder diffractogram in this record (a wavelength of 1.5418 Å).
Peak positions follow from Bragg's law for the DFT cell and can differ from measured ones.

Structural model:
Lattice parameters (Å, degrees): 7.2811 7.2811 5.1539 90.00 90.00 90.00
Space group I4/m (No. 87)
Symmetry-distinct sites (fractional):
1 Hf 0.1001 0.3057 0.0000 [8 per cell]
2 Sn 0.0000 0.0000 0.5000 [2 per cell]
3 N 0.0000 0.5000 0.2500 [4 per cell]

Largest 10 diffraction maxima, in order of falling intensity, 2θ from 5° to 70°:
| two_theta | I/Imax |
| --- | --- |
| 32.53 | 100 |
| 39.12 | 29 |
| 53.36 | 26 |
| 66.75 | 25 |
| 34.81 | 19 |
| 60.98 | 17 |
| 68.12 | 12 |
| 56.52 | 11 |
| 17.22 | 4 |
| 21.12 | 1 |

---

For RbBa2InS4, a DFT-relaxed cell (GGA-PBE, Alexandria) gives the computed powder diffractogram in this record (a wavelength of 1.5418 Å).
Peak positions follow from Bragg's law for the DFT cell and can differ from measured ones.

Structural model:
Lattice parameters (Å, degrees): 14.3611 10.1238 8.2971 90.00 121.73 90.00
Space group C2 (No. 5)
Symmetry-distinct sites (fractional):
1 Rb 0.0000 0.0000 0.0000 [2 per cell]
2 Rb 0.0000 0.0370 0.5000 [2 per cell]
3 Ba 0.0000 0.4573 0.5000 [2 per cell]
4 Ba 0.0000 0.5266 0.0000 [2 per cell]
5 Ba 0.2231 0.7578 0.8416 [4 per cell]
6 In 0.2410 0.7561 0.3743 [4 per cell]
7 S 0.0584 0.7340 0.3506 [4 per cell]
8 S 0.0942 0.2728 0.2936 [4 per cell]
9 S 0.2438 0.4399 0.8124 [4 per cell]
10 S 0.2483 0.5745 0.1779 [4 per cell]

Largest 10 diffraction maxima, in order of falling intensity, 2θ from 5° to 70°:
| two_theta | I/Imax |
| --- | --- |
| 22.82 | 100 |
| 29.24 | 49 |
| 35.40 | 46 |
| 27.84 | 40 |
| 23.94 | 37 |
| 41.79 | 33 |
| 33.00 | 29 |
| 35.47 | 26 |
| 30.89 | 26 |
| 24.73 | 23 |

---

For LiTeS2, a DFT-relaxed cell (GGA-PBE, Alexandria) gives the computed powder diffractogram in this record (a wavelength of 1.5418 Å).
Peak positions follow from Bragg's law for the DFT cell and can differ from measured ones.

Structural model:
Lattice parameters (Å, degrees): 7.2901 7.5812 6.8304 90.00 90.00 90.00
Space group Pna2_1 (No. 33)
Symmetry-distinct sites (fractional):
1 Li 0.1748 0.1194 0.0000 [4 per cell]
2 Te 0.2222 0.6048 0.9907 [4 per cell]
3 S 0.1208 0.9009 0.7038 [4 per cell]
4 S 0.1236 0.4127 0.7297 [4 per cell]

Largest 10 diffraction maxima, in order of falling intensity, 2θ from 5° to 70°:
| two_theta | I/Imax |
| --- | --- |
| 21.33 | 100 |
| 37.53 | 66 |
| 17.48 | 41 |
| 24.42 | 27 |
| 30.19 | 22 |
| 36.04 | 21 |
| 26.50 | 20 |
| 44.28 | 17 |
| 27.74 | 17 |
| 45.66 | 16 |